1.
This entry pairs a crystal structure of Sm8Y3Th3 with its theoretical powder XRD pattern. Radiation: Cu Kα, 1.54184 Å. Structure: a crystal structure in Alexandria, relaxed with PBE.
Peak positions follow from Bragg's law for the DFT cell and can differ from measured ones.

Structural model:
```
data_Sm8Y3Th3
_chemical_formula_sum 'Sm16 Y6 Th6'
_symmetry_space_group_name_H-M 'I m m m'
_symmetry_Int_Tables_number 71
_symmetry_space_group_name_Hall '-I 2 2'
_cell_length_a 5.7652
_cell_length_b 10.6753
_cell_length_c 15.1902
_cell_angle_alpha 90.00
_cell_angle_beta 90.00
_cell_angle_gamma 90.00
loop_
_atom_site_label
_atom_site_fract_x
_atom_site_fract_y
_atom_site_fract_z
_atom_site_occupancy
Sm1 0.0000 0.1576 0.2240 1
Sm2 0.0000 0.3353 0.3974 1
Y1 0.0000 0.0000 0.0000 1
Y2 0.0000 0.3145 0.0000 1
Th1 0.0000 0.0000 0.5000 1
Th2 0.0000 0.5000 0.1862 1
```

Largest 12 diffraction maxima, in order of rising 2θ, 2θ from 15° to 90°:
23.40 deg, d = 3.801 Å, I 14, (0 0 4)
25.71 deg, d = 3.465 Å, I 19, (0 3 1)
28.82 deg, d = 3.098 Å, I 26, (1 2 3)
29.38 deg, d = 3.040 Å, I 32, (1 1 4)
30.71 deg, d = 2.911 Å, I 21, (0 3 3)
31.02 deg, d = 2.883 Å, I 53, (2 0 0)
31.81 deg, d = 2.813 Å, I 100, (1 3 2)
33.34 deg, d = 2.688 Å, I 43, (1 0 5)
44.19 deg, d = 2.050 Å, I 24, (2 3 3)
51.36 deg, d = 1.779 Å, I 17, (0 6 0)
55.69 deg, d = 1.650 Å, I 21, (3 3 2)
61.22 deg, d = 1.514 Å, I 14, (2 6 0)

=====

2.
This entry pairs a crystal structure of Pr4Sm10Mg with its theoretical powder XRD pattern. Radiation: Cu Kα, 1.54184 Å. Structure: a crystal structure in Alexandria, relaxed with PBE.
Peak positions follow from Bragg's law for the DFT cell and can differ from measured ones.

Structural model:
```
data_Pr4Sm10Mg
_chemical_formula_sum 'Pr8 Sm20 Mg2'
_symmetry_space_group_name_H-M 'I 4/m'
_symmetry_Int_Tables_number 87
_symmetry_space_group_name_Hall '-I 4'
_cell_length_a 9.9835
_cell_length_b 9.9835
_cell_length_c 10.6537
_cell_angle_alpha 90.00
_cell_angle_beta 90.00
_cell_angle_gamma 90.00
loop_
_atom_site_label
_atom_site_fract_x
_atom_site_fract_y
_atom_site_fract_z
_atom_site_occupancy
Pr1 0.0647 0.3253 0.0000 1
Sm1 0.0000 0.5000 0.2500 1
Sm2 0.1120 0.2104 0.3379 1
Mg1 0.0000 0.0000 0.0000 1
```

Largest 12 diffraction maxima, in order of rising 2θ, 2θ from 15° to 90°:
26.64 deg, d = 3.346 Å, I 53, (1 0 3)
28.09 deg, d = 3.176 Å, I 48, (3 0 1)
28.27 deg, d = 3.157 Å, I 100, (3 1 0)
32.21 deg, d = 2.779 Å, I 88, (2 1 3)
32.98 deg, d = 2.716 Å, I 54, (3 1 2)
33.44 deg, d = 2.680 Å, I 30, (3 2 1)
40.40 deg, d = 2.232 Å, I 21, (2 4 0)
41.35 deg, d = 2.184 Å, I 21, (2 3 3)
43.98 deg, d = 2.059 Å, I 38, (2 4 2)
45.33 deg, d = 2.001 Å, I 19, (1 4 3)
58.49 deg, d = 1.578 Å, I 29, (6 2 0)
59.75 deg, d = 1.548 Å, I 21, (1 3 6)